[1]
For La7Ni16, the GGA-PBE geometry in OQMD gives the computed PXRD pattern in this record (Cu Kα, 1.54184 Å).

Peak list (12 most intense, 10 to 90 degrees two-theta, sorted by position)
Position (°2θ), d/Å, intensity
27.96, 3.191, 26.3
33.14, 2.704, 27.5
34.67, 2.587, 24.1
34.98, 2.565, 48.3
37.39, 2.405, 23.4
40.97, 2.203, 100.0
41.49, 2.176, 53.1
43.06, 2.101, 61.3
55.17, 1.665, 14.1
66.42, 1.407, 17.4
73.88, 1.283, 17.6
87.78, 1.112, 15.3

```
La7Ni16
1.0
-3.6590 3.6590 7.1960
3.6590 -3.6590 7.1960
3.6590 3.6590 -7.1960
La Ni
7 16
direct
0.0000 0.0000 0.0000 La
0.2021 0.2021 0.6091 La
0.2500 0.7500 0.5000 La
0.4071 0.7979 0.0000 La
0.5929 0.5929 0.3909 La
0.7500 0.2500 0.5000 La
0.7979 0.4071 0.0000 La
0.0503 0.5665 0.7488 Ni
0.0685 0.0685 0.7645 Ni
0.1614 0.4411 0.0000 Ni
0.1822 0.4335 0.4837 Ni
0.3015 0.8178 0.2512 Ni
0.3040 0.3040 0.2355 Ni
0.4335 0.1822 0.4837 Ni
0.4411 0.1614 0.0000 Ni
0.5589 0.5589 0.7203 Ni
0.5665 0.0503 0.7488 Ni
0.6960 0.9315 0.0000 Ni
0.6985 0.9497 0.5163 Ni
0.8178 0.3015 0.2512 Ni
0.8386 0.8386 0.2797 Ni
0.9315 0.6960 0.0000 Ni
0.9497 0.6985 0.5163 Ni
```

=====

[2]
For Tb3Si2Cl5O6, the GGA-PBE geometry in OQMD gives the computed PXRD pattern in this record (Cu Kα, 1.54184 Å).

Peak list (12 most intense, 10 to 90 degrees two-theta, sorted by position)
Position (°2θ), d/Å, intensity
17.12, 5.180, 100.0
23.54, 3.780, 24.8
24.31, 3.661, 27.1
25.83, 3.449, 22.1
32.37, 2.766, 24.0
33.76, 2.655, 16.6
34.60, 2.593, 18.6
36.83, 2.440, 19.1
38.86, 2.317, 21.7
42.27, 2.138, 15.1
45.26, 2.004, 22.3
48.12, 1.891, 16.5

```
Tb3Si2Cl5O6
1.0
5.3100 -5.1849 0.0000
5.3100 5.1849 0.0000
-2.6671 0.0000 11.3389
Tb Si Cl O
6 4 10 12
direct
0.0000 0.5000 0.5000 Tb
0.0830 0.5841 0.8322 Tb
0.4159 0.9170 0.1678 Tb
0.5000 0.0000 0.5000 Tb
0.5841 0.0830 0.8322 Tb
0.9170 0.4159 0.1678 Tb
0.1098 0.8175 0.3548 Si
0.1825 0.8902 0.6452 Si
0.8175 0.1098 0.3548 Si
0.8902 0.1825 0.6452 Si
0.1144 0.6743 0.0796 Cl
0.2217 0.2217 0.1608 Cl
0.3162 0.3162 0.5015 Cl
0.3257 0.8856 0.9204 Cl
0.3830 0.3830 0.8559 Cl
0.6170 0.6170 0.1441 Cl
0.6743 0.1144 0.0796 Cl
0.6838 0.6838 0.4985 Cl
0.7783 0.7783 0.8392 Cl
0.8856 0.3257 0.9204 Cl
0.0447 0.6056 0.3273 O
0.0486 0.0486 0.6971 O
0.1328 0.6921 0.6728 O
0.1413 0.8587 0.5000 O
0.3079 0.8672 0.3272 O
0.3944 0.9553 0.6727 O
0.6056 0.0447 0.3273 O
0.6921 0.1328 0.6728 O
0.8587 0.1413 0.5000 O
0.8672 0.3079 0.3272 O
0.9514 0.9514 0.3029 O
0.9553 0.3944 0.6727 O
```

=====

[3]
For PmHg2Pb, the GGA-PBE geometry in OQMD gives the computed PXRD pattern in this record (Cu Kα, 1.54184 Å).

Peak list (12 most intense, 10 to 90 degrees two-theta, sorted by position)
Position (°2θ), d/Å, intensity
19.14, 4.636, 1.0
26.51, 3.363, 1.0
32.91, 2.722, 100.0
36.80, 2.442, 18.6
38.85, 2.318, 32.1
54.59, 1.681, 24.3
56.11, 1.639, 11.2
63.84, 1.458, 15.3
66.60, 1.404, 27.0
69.00, 1.361, 12.2
78.30, 1.221, 2.2
83.39, 1.159, 3.8

```
PmHg2Pb
1.0
4.6362 0.0000 0.0000
0.0000 4.6362 0.0000
0.0000 0.0000 4.8842
Pm Hg Pb
1 2 1
direct
0.0000 0.0000 0.0000 Pm
0.0000 0.5000 0.5000 Hg
0.5000 0.0000 0.5000 Hg
0.5000 0.5000 0.0000 Pb
```

=====

[4]
For Al9W4, the GGA-PBE geometry in OQMD gives the computed PXRD pattern in this record (Cu Kα, 1.54184 Å).

Peak list (12 most intense, 10 to 90 degrees two-theta, sorted by position)
Position (°2θ), d/Å, intensity
30.67, 2.915, 20.0
33.29, 2.691, 25.8
35.15, 2.553, 100.0
36.57, 2.457, 85.2
38.95, 2.313, 48.0
40.58, 2.223, 40.9
41.94, 2.154, 46.5
48.22, 1.887, 18.0
63.05, 1.474, 22.8
65.60, 1.423, 21.0
67.72, 1.384, 22.7
74.30, 1.277, 19.0

```
Al9W4
1.0
2.5532 1.4741 9.0436
-2.5532 1.4741 9.0436
0.0000 -2.9482 9.0436
Al W
9 4
direct
0.0000 0.0000 0.0000 Al
0.0850 0.0850 0.5850 Al
0.0850 0.5850 0.0850 Al
0.3533 0.3533 0.3533 Al
0.4150 0.9150 0.9150 Al
0.5850 0.0850 0.0850 Al
0.6467 0.6467 0.6467 Al
0.9150 0.4150 0.9150 Al
0.9150 0.9150 0.4150 Al
0.1664 0.1664 0.1664 W
0.4533 0.4533 0.4533 W
0.5467 0.5467 0.5467 W
0.8336 0.8336 0.8336 W
```